Structure and theoretical powder X-ray diffraction pattern of Nd3Ni3Bi4 (a crystal structure in Alexandria, relaxed with PBE; Cu Kα).

Cell: 8.5576 8.5576 8.5576 Å, 109.47 109.47 109.47°
Fractional coordinates of all 20 atoms:
1 Nd 0.1250 0.8750 0.2500
2 Nd 0.2500 0.1250 0.8750
3 Nd 0.3750 0.6250 0.7500
4 Nd 0.6250 0.7500 0.3750
5 Nd 0.7500 0.3750 0.6250
6 Nd 0.8750 0.2500 0.1250
7 Ni 0.1250 0.7500 0.8750
8 Ni 0.2500 0.6250 0.3750
9 Ni 0.3750 0.2500 0.6250
10 Ni 0.6250 0.3750 0.2500
11 Ni 0.7500 0.8750 0.1250
12 Ni 0.8750 0.1250 0.7500
13 Bi 0.0000 0.1531 0.5000
14 Bi 0.0000 0.6531 0.5000
15 Bi 0.1531 0.5000 0.0000
16 Bi 0.3469 0.3469 0.3469
17 Bi 0.5000 0.0000 0.1531
18 Bi 0.5000 0.0000 0.6531
19 Bi 0.6531 0.5000 0.0000
20 Bi 0.8469 0.8469 0.8469

Largest 6 diffraction maxima, by angle, 15° ≤ 2θ ≤ 90°:
| two_theta | intensity |
| --- | --- |
| 28.6 | 70 |
| 33.9 | 100 |
| 40.8 | 19 |
| 44.9 | 24 |
| 46.9 | 26 |
| 57.5 | 20 |

Structure and theoretical powder X-ray diffraction pattern of PrNd4Sb5 (a crystal structure in Alexandria, relaxed with PBE; Cu Kα).

Cell: 11.9793 11.9793 11.9793 Å, 158.17 149.00 38.24°
Fractional coordinates of all 10 atoms:
1 Pr 0.0000 0.0000 0.0000
2 Nd 0.2004 0.2004 0.0000
3 Nd 0.3999 0.3999 0.0000
4 Nd 0.6001 0.6001 0.0000
5 Nd 0.7996 0.7996 0.0000
6 Sb 0.1007 0.6007 0.5000
7 Sb 0.3001 0.8001 0.5000
8 Sb 0.5000 0.0000 0.5000
9 Sb 0.6999 0.1999 0.5000
10 Sb 0.8993 0.3993 0.5000

Largest 6 diffraction maxima, by angle, 15° ≤ 2θ ≤ 90°:
| two_theta | intensity |
| --- | --- |
| 27.9 | 100 |
| 39.8 | 77 |
| 49.3 | 28 |
| 65.1 | 30 |
| 72.2 | 13 |
| 72.3 | 13 |

Structure and theoretical powder X-ray diffraction pattern of CaInBi3 (a crystal structure in Alexandria, relaxed with PBE; Cu Kα).

Cell: 6.2090 6.7014 8.0469 Å, 90.00 103.86 90.00°
Fractional coordinates of all 10 atoms:
1 Ca 0.2406 0.2500 0.3989
2 Ca 0.7594 0.7500 0.6011
3 In 0.3928 0.2500 0.8341
4 In 0.6072 0.7500 0.1659
5 Bi 0.0000 0.0000 0.0000
6 Bi 0.0000 0.5000 0.0000
7 Bi 0.1862 0.7500 0.3769
8 Bi 0.3165 0.7500 0.7921
9 Bi 0.6835 0.2500 0.2079
10 Bi 0.8138 0.2500 0.6231

Largest 6 diffraction maxima, by angle, 15° ≤ 2θ ≤ 90°:
| two_theta | intensity |
| --- | --- |
| 19.8 | 55 |
| 29.1 | 100 |
| 30.1 | 78 |
| 31.3 | 48 |
| 34.1 | 58 |
| 36.1 | 43 |

Structure and theoretical powder X-ray diffraction pattern of Rb3Ir2Cl9 (a crystal structure in Alexandria, relaxed with PBE; Cu Kα).

Cell: 7.1525 7.1525 18.6306 Å, 90.00 90.00 120.00°
Fractional coordinates of all 28 atoms:
1 Rb 0.0000 0.0000 0.2500
2 Rb 0.0000 0.0000 0.7500
3 Rb 0.3333 0.6667 0.0598
4 Rb 0.3333 0.6667 0.4402
5 Rb 0.6667 0.3333 0.5598
6 Rb 0.6667 0.3333 0.9402
7 Ir 0.3333 0.6667 0.6657
8 Ir 0.3333 0.6667 0.8343
9 Ir 0.6667 0.3333 0.1657
10 Ir 0.6667 0.3333 0.3343
11 Cl 0.0365 0.5182 0.7500
12 Cl 0.1780 0.3560 0.5943
13 Cl 0.1780 0.3560 0.9057
14 Cl 0.1780 0.8220 0.5943
15 Cl 0.1780 0.8220 0.9057
16 Cl 0.3560 0.1780 0.0943
17 Cl 0.3560 0.1780 0.4057
18 Cl 0.4818 0.5182 0.7500
19 Cl 0.4818 0.9635 0.7500
20 Cl 0.5182 0.0365 0.2500
21 Cl 0.5182 0.4818 0.2500
22 Cl 0.6440 0.8220 0.5943
23 Cl 0.6440 0.8220 0.9057
24 Cl 0.8220 0.1780 0.0943
25 Cl 0.8220 0.1780 0.4057
26 Cl 0.8220 0.6440 0.0943
27 Cl 0.8220 0.6440 0.4057
28 Cl 0.9635 0.4818 0.2500

Largest 6 diffraction maxima, by angle, 15° ≤ 2θ ≤ 90°:
| two_theta | intensity |
| --- | --- |
| 15.1 | 100 |
| 24.9 | 53 |
| 27.9 | 45 |
| 32.3 | 27 |
| 37.8 | 27 |
| 45.8 | 30 |

Please write out number 2 again, unchanged.
Structure and theoretical powder X-ray diffraction pattern of PrNd4Sb5 (a crystal structure in Alexandria, relaxed with PBE; Cu Kα).

Cell: 11.9793 11.9793 11.9793 Å, 158.17 149.00 38.24°
Fractional coordinates of all 10 atoms:
1 Pr 0.0000 0.0000 0.0000
2 Nd 0.2004 0.2004 0.0000
3 Nd 0.3999 0.3999 0.0000
4 Nd 0.6001 0.6001 0.0000
5 Nd 0.7996 0.7996 0.0000
6 Sb 0.1007 0.6007 0.5000
7 Sb 0.3001 0.8001 0.5000
8 Sb 0.5000 0.0000 0.5000
9 Sb 0.6999 0.1999 0.5000
10 Sb 0.8993 0.3993 0.5000

Largest 6 diffraction maxima, by angle, 15° ≤ 2θ ≤ 90°:
| two_theta | intensity |
| --- | --- |
| 27.9 | 100 |
| 39.8 | 77 |
| 49.3 | 28 |
| 65.1 | 30 |
| 72.2 | 13 |
| 72.3 | 13 |